Entry 1:
Calculated PXRD pattern
Compound: MgCr2Cl4O4
Radiation: λ = 1.5418 Å (Cu Kα)
Structure: the PBE+U geometry in the Materials Project

Structure:
Cell: 5.6008 6.9341 6.9879 Å, 101.86 90.28 90.68°
Space group P1 (No. 1)
Symmetry-distinct sites (fractional):
1 Mg 0.0000 0.0000 0.0000 x1
2 Cr 0.0723 0.5194 0.8861 x1
3 Cr 0.6049 0.8378 0.4350 x1
4 Cl 0.2222 0.3901 0.6057 x1
5 Cl 0.2248 0.3075 0.0638 x1
6 Cl 0.7081 0.0013 0.7458 x1
7 Cl 0.7423 0.0763 0.2791 x1
8 O 0.1714 0.7530 0.9561 x1
9 O 0.3180 0.8354 0.4197 x1
10 O 0.7409 0.6343 0.3574 x1
11 O 0.7907 0.4856 0.8753 x1

The 10 most intense peaks (10° ≤ 2θ ≤ 80°), low angle first:
d 4.387, I 34, hkl 0 1 1
d 4.348, I 100, hkl 1 -1 0
d 4.317, I 55, hkl 1 0 1
d 4.292, I 44, hkl 1 1 0
d 3.880, I 20, hkl 1 1 -1
d 3.324, I 30, hkl 0 2 -1
d 2.925, I 31, hkl 1 0 -2
d 2.885, I 20, hkl 1 2 0
d 2.869, I 23, hkl 1 -1 2
d 2.800, I 22, hkl 2 0 0


Entry 2:
Calculated PXRD pattern
Compound: MgCr2Cl4O4
Radiation: λ = 1.5418 Å (Cu Kα)
Structure: the PBE+U geometry in the Materials Project

Structure:
Cell: 5.5630 6.6825 7.2083 Å, 76.98 89.59 88.10°
Space group P1 (No. 1)
Symmetry-distinct sites (fractional):
1 Mg 0.0000 0.0000 0.0000 x1
2 Cr 0.3501 0.4529 0.9146 x1
3 Cr 0.8756 0.1662 0.4533 x1
4 Cl 0.2237 0.6729 0.0952 x1
5 Cl 0.2291 0.6152 0.6360 x1
6 Cl 0.7271 0.0010 0.7446 x1
7 Cl 0.7446 0.9459 0.2776 x1
8 O 0.1651 0.1561 0.4553 x1
9 O 0.2095 0.2298 0.9747 x1
10 O 0.6373 0.4459 0.9180 x1
11 O 0.7434 0.3864 0.3783 x1

The 10 most intense peaks (10° ≤ 2θ ≤ 80°), low angle first:
d 4.359, I 70, hkl 1 0 1
d 4.301, I 100, hkl 1 1 0
d 4.161, I 61, hkl 1 -1 0
d 3.831, I 21, hkl -1 1 1
d 3.247, I 38, hkl 0 2 1
d 2.969, I 31, hkl 1 0 -2
d 2.941, I 17, hkl 1 1 2
d 2.835, I 26, hkl 0 1 -2
d 2.780, I 23, hkl 2 0 0
d 1.800, I 18, hkl 0 1 4